1.
For Nd4Dy2Tm, DFT lattice parameters and positions (GGA-PBE) gives the calculated powder diffraction line list in this record (Cu Ka).
No peak broadening, texture or thermal motion is included.

Largest 10 diffraction maxima, in order of falling intensity, 2θ = 10–90°:
hkl 1 7 1, 30.16°, d 2.963, I = 100; hkl 2 0 2, 31.40°, d 2.849, I = 63; hkl 3 5 1, 32.12°, d 2.787, I = 33; hkl 4 2 0, 30.69°, d 2.913, I = 31; hkl 3 7 1, 37.00°, d 2.429, I = 27; hkl 2 2 2, 32.27°, d 2.774, I = 24; hkl 2 14 0, 55.12°, d 1.666, I = 21; hkl 1 7 3, 50.38°, d 1.811, I = 20; hkl 0 2 2, 28.48°, d 3.134, I = 16; hkl 0 14 2, 60.56°, d 1.529, I = 14

Atomic structure:
```
data_Nd4Dy2Tm
_symmetry_space_group_name_H-M 'F d d 2'
_symmetry_Int_Tables_number 43
_symmetry_space_group_name_Hall 'F 2 -2d'
_cell_length_a 12.002
_cell_length_b 24.284
_cell_length_c 6.474
_cell_angle_alpha 90.00
_cell_angle_beta 90.00
_cell_angle_gamma 90.00
loop_
_atom_site_label
_atom_site_type_symbol
_atom_site_fract_x
_atom_site_fract_y
_atom_site_fract_z
Nd1 Nd 0.052 0.070 0.000
Nd2 Nd 0.069 0.144 0.532
Dy1 Dy 0.024 0.216 0.056
Tm1 Tm 0.000 0.000 0.496
```


2.
For LaPm4Au, DFT lattice parameters and positions (GGA-PBE) gives the calculated powder diffraction line list in this record (Cu Ka).
No peak broadening, texture or thermal motion is included.

Largest 10 diffraction maxima, in order of falling intensity, 2θ = 10–90°:
hkl 1 5 1, 29.37°, d 3.041, I = 100; hkl 2 0 0, 32.76°, d 2.734, I = 68; hkl 1 7 1, 35.68°, d 2.516, I = 62; hkl 1 1 2, 31.86°, d 2.809, I = 61; hkl 1 3 2, 33.94°, d 2.641, I = 38; hkl 0 2 2, 28.15°, d 3.170, I = 28; hkl 0 8 1, 35.41°, d 2.535, I = 22; hkl 1 5 2, 37.80°, d 2.380, I = 21; hkl 1 1 0, 16.71°, d 5.305, I = 20; hkl 0 10 1, 43.42°, d 2.084, I = 18

Atomic structure:
```
data_LaPm4Au
_symmetry_space_group_name_H-M 'C m c 21'
_symmetry_Int_Tables_number 36
_cell_length_a 5.467
_cell_length_b 21.955
_cell_length_c 6.621
_cell_angle_alpha 90.00
_cell_angle_beta 90.00
_cell_angle_gamma 90.00
loop_
_symmetry_equiv_pos_as_xyz
'x,y,z'
'-x,-y,z+1/2'
'-x,y,z'
'x,-y,z+1/2'
'x+1/2,y+1/2,z'
'-x+1/2,-y+1/2,z+1/2'
'-x+1/2,y+1/2,z'
'x+1/2,-y+1/2,z+1/2'
loop_
_atom_site_label
_atom_site_type_symbol
_atom_site_fract_x
_atom_site_fract_y
_atom_site_fract_z
La1 La 0.000 0.133 0.000
Pm1 Pm 0.000 0.070 0.500
Pm2 Pm 0.000 0.258 0.373
Pm3 Pm 0.000 0.336 0.852
Pm4 Pm 0.000 0.474 0.637
Au1 Au 0.000 0.392 0.269
```


Repeat the second record exactly.
For LaPm4Au, DFT lattice parameters and positions (GGA-PBE) gives the calculated powder diffraction line list in this record (Cu Ka).
No peak broadening, texture or thermal motion is included.

Largest 10 diffraction maxima, in order of falling intensity, 2θ = 10–90°:
hkl 1 5 1, 29.37°, d 3.041, I = 100; hkl 2 0 0, 32.76°, d 2.734, I = 68; hkl 1 7 1, 35.68°, d 2.516, I = 62; hkl 1 1 2, 31.86°, d 2.809, I = 61; hkl 1 3 2, 33.94°, d 2.641, I = 38; hkl 0 2 2, 28.15°, d 3.170, I = 28; hkl 0 8 1, 35.41°, d 2.535, I = 22; hkl 1 5 2, 37.80°, d 2.380, I = 21; hkl 1 1 0, 16.71°, d 5.305, I = 20; hkl 0 10 1, 43.42°, d 2.084, I = 18

Atomic structure:
```
data_LaPm4Au
_symmetry_space_group_name_H-M 'C m c 21'
_symmetry_Int_Tables_number 36
_cell_length_a 5.467
_cell_length_b 21.955
_cell_length_c 6.621
_cell_angle_alpha 90.00
_cell_angle_beta 90.00
_cell_angle_gamma 90.00
loop_
_symmetry_equiv_pos_as_xyz
'x,y,z'
'-x,-y,z+1/2'
'-x,y,z'
'x,-y,z+1/2'
'x+1/2,y+1/2,z'
'-x+1/2,-y+1/2,z+1/2'
'-x+1/2,y+1/2,z'
'x+1/2,-y+1/2,z+1/2'
loop_
_atom_site_label
_atom_site_type_symbol
_atom_site_fract_x
_atom_site_fract_y
_atom_site_fract_z
La1 La 0.000 0.133 0.000
Pm1 Pm 0.000 0.070 0.500
Pm2 Pm 0.000 0.258 0.373
Pm3 Pm 0.000 0.336 0.852
Pm4 Pm 0.000 0.474 0.637
Au1 Au 0.000 0.392 0.269
```